For Mg3In4Cu8, a GGA-PBE-relaxed structure gives the simulated powder diffraction line list in this record (copper Kα).

Cell and atoms:
a b c (Å): 8.4501 8.4501 8.1118
angles (deg): 90.00 90.00 120.00
Space group P6_3mc (No. 186)
Inequivalent atoms, fractional coordinates:
Mg1 0.0362 0.5181 0.0000
In1 0.1814 0.3629 0.7389
In2 0.3333 0.6667 0.2365
Cu1 0.0000 0.0000 0.3129
Cu2 0.1194 0.2388 0.0619
Cu3 0.1692 0.3385 0.3896
Cu4 0.3333 0.6667 0.5575

Most intense lines, 2θ from 5° to 70°, in order of falling intensity:
Position (°2θ)	I/Imax
41.53	100
42.81	62
24.33	29
39.43	29
26.73	25
12.09	21
38.54	17
61.16	17

=====

For MgInCuRh, a GGA-PBE-relaxed structure gives the simulated powder diffraction line list in this record (copper Kα).

Cell and atoms:
a b c (Å): 3.395 4.347 4.391
angles (deg): 90.00 90.00 90.00
Space group Pmmm (No. 47)
Inequivalent atoms, fractional coordinates:
Mg1 0.000 0.000 0.000
In1 0.000 0.500 0.500
Cu1 0.500 0.000 0.500
Rh1 0.500 0.500 0.000

Most intense lines, 2θ from 5° to 70°, in order of falling intensity:
Position (°2θ)	I/Imax
39.44	100
41.12	22
20.43	22
41.54	22
59.88	14
33.36	13
54.02	11
54.29	6